(1)
This entry pairs a crystal structure of BaNa2P2O7 with its simulated XRD peak list. Radiation: Cu Kα. Structure: a crystal structure in Alexandria, relaxed with GGA-PBE.
Peak positions follow from Bragg's law for the DFT cell and can differ from measured ones.

Structural model:
a = 8.189 Å, b = 8.189 Å, c = 8.189 Å
α = 40.46°, β = 40.46°, γ = 40.46°
Fractional positions:
Ba 0.000 0.000 0.000
Na 0.224 0.224 0.224
Na 0.776 0.776 0.776
P 0.428 0.428 0.428
P 0.572 0.572 0.572
O 0.150 0.407 0.673
O 0.327 0.593 0.850
O 0.407 0.673 0.150
O 0.500 0.500 0.500
O 0.593 0.850 0.327
O 0.673 0.150 0.407
O 0.850 0.327 0.593

Peak list (10 most intense, 5° ≤ 2θ ≤ 70°, sorted by position)
2θ/deg, d/Å, Rel. int.
11.79, 7.508, 32.7
19.74, 4.497, 100.0
24.06, 3.698, 58.8
26.87, 3.318, 90.6
31.60, 2.832, 67.6
33.30, 2.690, 24.5
40.11, 2.248, 24.2
48.54, 1.876, 40.9
51.93, 1.761, 21.3
56.27, 1.635, 21.9


(2)
This entry pairs a crystal structure of LaPrNdY with its simulated XRD peak list. Radiation: Cu Kα. Structure: a crystal structure in Alexandria, relaxed with GGA-PBE.
Peak positions follow from Bragg's law for the DFT cell and can differ from measured ones.

Structural model:
a = 5.214 Å, b = 5.214 Å, c = 10.360 Å
α = 90.00°, β = 90.00°, γ = 90.00°
Fractional positions:
La 0.000 0.000 0.000
La 0.500 0.500 0.500
Pr 0.000 0.500 0.750
Pr 0.500 0.000 0.250
Nd 0.000 0.000 0.500
Nd 0.500 0.500 0.000
Y 0.000 0.500 0.250
Y 0.500 0.000 0.750

Peak list (10 most intense, 5° ≤ 2θ ≤ 70°, sorted by position)
2θ/deg, d/Å, Rel. int.
19.06, 4.657, 2.8
29.74, 3.004, 100.0
34.40, 2.607, 33.9
34.63, 2.590, 16.7
39.62, 2.275, 1.0
49.44, 1.843, 12.1
49.62, 1.837, 24.0
58.77, 1.571, 28.7
59.08, 1.564, 14.1
61.77, 1.502, 12.3


(3)
This entry pairs a crystal structure of Lu2Fe3Si5 with its simulated XRD peak list. Radiation: Cu Kα. Structure: a crystal structure in Alexandria, relaxed with GGA-PBE.
Peak positions follow from Bragg's law for the DFT cell and can differ from measured ones.

Structural model:
a = 10.280 Å, b = 10.280 Å, c = 5.389 Å
α = 90.00°, β = 90.00°, γ = 90.00°
Fractional positions:
Lu 0.069 0.237 0.000
Lu 0.237 0.931 0.000
Lu 0.263 0.431 0.500
Lu 0.431 0.737 0.500
Lu 0.569 0.263 0.500
Lu 0.737 0.569 0.500
Lu 0.763 0.069 0.000
Lu 0.931 0.763 0.000
Fe 0.000 0.500 0.250
Fe 0.000 0.500 0.750
Fe 0.123 0.856 0.500
Fe 0.144 0.123 0.500
Fe 0.356 0.623 0.000
Fe 0.377 0.356 0.000
Fe 0.500 0.000 0.250
Fe 0.500 0.000 0.750
Fe 0.623 0.644 0.000
Fe 0.644 0.377 0.000
Fe 0.856 0.877 0.500
Fe 0.877 0.144 0.500
Si 0.000 0.000 0.260
Si 0.000 0.000 0.740
Si 0.024 0.319 0.500
Si 0.178 0.678 0.250
Si 0.178 0.678 0.750
Si 0.181 0.476 0.000
Si 0.319 0.976 0.500
Si 0.322 0.178 0.250
Si 0.322 0.178 0.750
Si 0.476 0.819 0.000
Si 0.500 0.500 0.240
Si 0.500 0.500 0.760
Si 0.524 0.181 0.000
Si 0.678 0.822 0.250
Si 0.678 0.822 0.750
Si 0.681 0.024 0.500
Si 0.819 0.524 0.000
Si 0.822 0.322 0.250
Si 0.822 0.322 0.750
Si 0.976 0.681 0.500

Peak list (10 most intense, 5° ≤ 2θ ≤ 70°, sorted by position)
2θ/deg, d/Å, Rel. int.
25.47, 3.498, 35.7
32.16, 2.784, 100.0
33.25, 2.695, 28.1
36.02, 2.493, 34.9
38.73, 2.325, 28.2
39.19, 2.299, 24.9
39.84, 2.263, 52.4
41.73, 2.165, 56.5
50.71, 1.800, 20.9
54.80, 1.675, 32.2


(4)
This entry pairs a crystal structure of Sr5ZrTi4O15 with its simulated XRD peak list. Radiation: Cu Kα. Structure: a crystal structure in Alexandria, relaxed with GGA-PBE.
Peak positions follow from Bragg's law for the DFT cell and can differ from measured ones.

Structural model:
a = 14.383 Å, b = 14.383 Å, c = 4.017 Å
α = 90.00°, β = 90.00°, γ = 157.38°
Fractional positions:
Sr 0.000 0.000 0.000
Sr 0.201 0.799 0.000
Sr 0.395 0.605 0.000
Sr 0.605 0.395 0.000
Sr 0.799 0.201 0.000
Zr 0.500 0.500 0.500
Ti 0.103 0.897 0.500
Ti 0.299 0.701 0.500
Ti 0.701 0.299 0.500
Ti 0.897 0.103 0.500
O 0.000 0.500 0.500
O 0.102 0.405 0.500
O 0.104 0.896 0.000
O 0.186 0.292 0.500
O 0.292 0.186 0.500
O 0.299 0.701 0.000
O 0.405 0.102 0.500
O 0.500 0.000 0.500
O 0.500 0.500 0.000
O 0.595 0.898 0.500
O 0.701 0.299 0.000
O 0.708 0.814 0.500
O 0.814 0.708 0.500
O 0.896 0.104 0.000
O 0.898 0.595 0.500

Peak list (10 most intense, 5° ≤ 2θ ≤ 70°, sorted by position)
2θ/deg, d/Å, Rel. int.
31.61, 2.830, 100.0
31.72, 2.821, 49.0
39.02, 2.308, 21.7
45.14, 2.008, 20.3
45.48, 1.994, 38.4
50.48, 1.808, 1.4
56.22, 1.636, 19.0
56.44, 1.630, 36.6
66.01, 1.415, 22.4
66.27, 1.410, 10.7


(5)
This entry pairs a crystal structure of Cs3NiCl5 with its simulated XRD peak list. Radiation: Cu Kα. Structure: a crystal structure in Alexandria, relaxed with GGA-PBE.
Peak positions follow from Bragg's law for the DFT cell and can differ from measured ones.

Structural model:
a = 9.964 Å, b = 9.964 Å, c = 9.964 Å
α = 123.94°, β = 123.94°, γ = 83.31°
Fractional positions:
Cs 0.169 0.669 0.837
Cs 0.250 0.250 0.000
Cs 0.331 0.169 0.500
Cs 0.669 0.831 0.500
Cs 0.750 0.750 0.000
Cs 0.831 0.331 0.163
Ni 0.250 0.750 0.500
Ni 0.750 0.250 0.500
Cl 0.000 0.000 0.000
Cl 0.023 0.786 0.500
Cl 0.214 0.714 0.237
Cl 0.286 0.523 0.500
Cl 0.477 0.977 0.763
Cl 0.500 0.500 0.000
Cl 0.523 0.023 0.237
Cl 0.714 0.477 0.500
Cl 0.786 0.286 0.763
Cl 0.977 0.214 0.500

Peak list (10 most intense, 5° ≤ 2θ ≤ 70°, sorted by position)
2θ/deg, d/Å, Rel. int.
22.05, 4.032, 33.9
22.43, 3.964, 80.3
23.91, 3.722, 30.0
26.93, 3.311, 28.4
27.87, 3.201, 100.0
30.18, 2.962, 42.5
36.31, 2.474, 24.9
37.04, 2.427, 16.6
41.17, 2.193, 18.0
49.97, 1.825, 17.2


(6)
This entry pairs a crystal structure of Rb2LiZrBr6 with its simulated XRD peak list. Radiation: Cu Kα. Structure: a crystal structure in Alexandria, relaxed with GGA-PBE.
Peak positions follow from Bragg's law for the DFT cell and can differ from measured ones.

Structural model:
a = 13.577 Å, b = 13.577 Å, c = 13.577 Å
α = 33.05°, β = 33.05°, γ = 33.05°
Fractional positions:
Rb 0.125 0.125 0.125
Rb 0.295 0.295 0.295
Rb 0.705 0.705 0.705
Rb 0.875 0.875 0.875
Li 0.416 0.416 0.416
Li 0.584 0.584 0.584
Zr 0.000 0.000 0.000
Zr 0.500 0.500 0.500
Br 0.130 0.623 0.623
Br 0.206 0.206 0.710
Br 0.206 0.710 0.206
Br 0.290 0.794 0.794
Br 0.377 0.377 0.870
Br 0.377 0.870 0.377
Br 0.623 0.130 0.623
Br 0.623 0.623 0.130
Br 0.710 0.206 0.206
Br 0.794 0.290 0.794
Br 0.794 0.794 0.290
Br 0.870 0.377 0.377

Peak list (10 most intense, 5° ≤ 2θ ≤ 70°, sorted by position)
2θ/deg, d/Å, Rel. int.
14.02, 6.317, 19.4
27.83, 3.206, 38.9
29.12, 3.067, 100.0
31.31, 2.857, 83.3
35.57, 2.524, 29.1
42.58, 2.123, 15.0
47.07, 1.931, 48.8
48.58, 1.874, 24.1
52.86, 1.732, 17.7
55.57, 1.654, 32.2


(7)
This entry pairs a crystal structure of Rb2TbPa3O12 with its simulated XRD peak list. Radiation: Cu Kα. Structure: a crystal structure in Alexandria, relaxed with GGA-PBE.
Peak positions follow from Bragg's law for the DFT cell and can differ from measured ones.

Structural model:
a = 8.068 Å, b = 8.068 Å, c = 8.068 Å
α = 61.65°, β = 61.65°, γ = 61.65°
Fractional positions:
Rb 0.166 0.166 0.166
Rb 0.834 0.834 0.834
Tb 0.500 0.500 0.500
Pa 0.000 0.500 0.500
Pa 0.500 0.000 0.500
Pa 0.500 0.500 0.000
O 0.171 0.567 0.567
O 0.191 0.191 0.547
O 0.191 0.547 0.191
O 0.433 0.433 0.829
O 0.433 0.829 0.433
O 0.453 0.809 0.809
O 0.547 0.191 0.191
O 0.567 0.171 0.567
O 0.567 0.567 0.171
O 0.809 0.453 0.809
O 0.809 0.809 0.453
O 0.829 0.433 0.433

Peak list (10 most intense, 5° ≤ 2θ ≤ 70°, sorted by position)
2θ/deg, d/Å, Rel. int.
13.17, 6.722, 91.2
13.61, 6.504, 36.1
25.29, 3.522, 63.6
25.53, 3.489, 100.0
26.52, 3.361, 82.2
27.42, 3.252, 43.9
30.98, 2.886, 35.8
40.25, 2.241, 34.1
43.80, 2.067, 44.1
52.45, 1.745, 44.3


(8)
This entry pairs a crystal structure of Ca3NiPd with its simulated XRD peak list. Radiation: Cu Kα. Structure: a crystal structure in Alexandria, relaxed with GGA-PBE.
Peak positions follow from Bragg's law for the DFT cell and can differ from measured ones.

Structural model:
a = 7.962 Å, b = 4.210 Å, c = 8.219 Å
α = 90.00°, β = 113.04°, γ = 90.00°
Fractional positions:
Ca 0.084 0.250 0.224
Ca 0.310 0.250 0.917
Ca 0.360 0.750 0.586
Ca 0.640 0.250 0.414
Ca 0.690 0.750 0.083
Ca 0.916 0.750 0.776
Ni 0.039 0.250 0.556
Ni 0.961 0.750 0.444
Pd 0.351 0.750 0.188
Pd 0.649 0.250 0.812

Peak list (10 most intense, 5° ≤ 2θ ≤ 70°, sorted by position)
2θ/deg, d/Å, Rel. int.
19.90, 4.462, 83.3
21.83, 4.072, 50.4
22.45, 3.961, 50.7
24.19, 3.679, 39.7
32.39, 2.764, 100.0
34.06, 2.632, 84.3
36.80, 2.442, 53.0
37.43, 2.403, 74.3
39.27, 2.294, 58.9
42.96, 2.105, 59.3


(9)
This entry pairs a crystal structure of BaPu2Au6 with its simulated XRD peak list. Radiation: Cu Kα. Structure: a crystal structure in Alexandria, relaxed with GGA-PBE.
Peak positions follow from Bragg's law for the DFT cell and can differ from measured ones.

Structural model:
a = 8.573 Å, b = 8.573 Å, c = 3.872 Å
α = 102.93°, β = 102.93°, γ = 55.98°
Fractional positions:
Ba 0.000 0.000 0.000
Pu 0.360 0.360 0.861
Pu 0.640 0.640 0.139
Au 0.016 0.625 0.322
Au 0.327 0.673 0.500
Au 0.375 0.984 0.678
Au 0.625 0.016 0.322
Au 0.673 0.327 0.500
Au 0.984 0.375 0.678

Peak list (10 most intense, 5° ≤ 2θ ≤ 70°, sorted by position)
2θ/deg, d/Å, Rel. int.
12.55, 7.053, 29.3
28.33, 3.150, 56.6
32.67, 2.741, 100.0
35.54, 2.526, 61.2
36.82, 2.441, 47.9
37.11, 2.422, 35.9
38.29, 2.351, 99.5
38.54, 2.336, 41.6
46.93, 1.936, 35.3
62.11, 1.494, 49.3


(10)
This entry pairs a crystal structure of LaScMn2Te with its simulated XRD peak list. Radiation: Cu Kα. Structure: a crystal structure in Alexandria, relaxed with GGA-PBE.
Peak positions follow from Bragg's law for the DFT cell and can differ from measured ones.

Structural model:
a = 4.735 Å, b = 4.735 Å, c = 5.760 Å
α = 90.00°, β = 90.00°, γ = 90.00°
Fractional positions:
La 0.000 0.000 0.000
Sc 0.500 0.500 0.000
Mn 0.000 0.500 0.500
Mn 0.500 0.000 0.500
Te 0.000 0.000 0.500

Peak list (10 most intense, 5° ≤ 2θ ≤ 70°, sorted by position)
2θ/deg, d/Å, Rel. int.
18.74, 4.735, 100.0
26.62, 3.348, 34.4
30.89, 2.895, 37.3
31.05, 2.880, 55.0
36.51, 2.461, 37.7
38.00, 2.368, 62.9
42.70, 2.118, 24.5
49.86, 1.829, 56.1
53.72, 1.706, 25.2
64.34, 1.448, 33.0


(11)
This entry pairs a crystal structure of Dy2Zn3Au5 with its simulated XRD peak list. Radiation: Cu Kα. Structure: a crystal structure in Alexandria, relaxed with GGA-PBE.
Peak positions follow from Bragg's law for the DFT cell and can differ from measured ones.

Structural model:
a = 12.406 Å, b = 12.406 Å, c = 7.181 Å
α = 90.00°, β = 90.00°, γ = 159.52°
Fractional positions:
Dy 0.024 0.976 0.500
Dy 0.320 0.680 0.598
Dy 0.680 0.320 0.098
Dy 0.976 0.024 0.000
Zn 0.122 0.878 0.762
Zn 0.284 0.716 0.155
Zn 0.454 0.546 0.707
Zn 0.546 0.454 0.207
Zn 0.716 0.284 0.655
Zn 0.878 0.122 0.262
Au 0.098 0.902 0.134
Au 0.195 0.805 0.413
Au 0.224 0.776 0.856
Au 0.384 0.616 0.997
Au 0.446 0.554 0.333
Au 0.554 0.446 0.833
Au 0.616 0.384 0.497
Au 0.776 0.224 0.356
Au 0.805 0.195 0.913
Au 0.902 0.098 0.634

Peak list (10 most intense, 5° ≤ 2θ ≤ 70°, sorted by position)
2θ/deg, d/Å, Rel. int.
26.12, 3.412, 19.8
34.03, 2.635, 52.3
35.10, 2.557, 100.0
37.17, 2.419, 80.3
38.32, 2.349, 29.1
38.97, 2.311, 28.8
40.93, 2.205, 53.5
44.49, 2.036, 15.2
46.38, 1.958, 15.4
57.31, 1.608, 18.2


(12)
This entry pairs a crystal structure of Ba2TlSn2O7 with its simulated XRD peak list. Radiation: Cu Kα. Structure: a crystal structure in Alexandria, relaxed with GGA-PBE.
Peak positions follow from Bragg's law for the DFT cell and can differ from measured ones.

Structural model:
a = 3.875 Å, b = 3.875 Å, c = 14.040 Å
α = 90.00°, β = 90.00°, γ = 90.00°
Fractional positions:
Ba 0.000 0.000 0.198
Ba 0.000 0.000 0.802
Tl 0.500 0.500 0.000
Sn 0.500 0.500 0.398
Sn 0.500 0.500 0.602
O 0.000 0.000 0.000
O 0.000 0.500 0.345
O 0.000 0.500 0.655
O 0.500 0.000 0.345
O 0.500 0.000 0.655
O 0.500 0.500 0.146
O 0.500 0.500 0.854

Peak list (10 most intense, 5° ≤ 2θ ≤ 70°, sorted by position)
2θ/deg, d/Å, Rel. int.
6.30, 14.040, 22.5
26.27, 3.393, 100.0
29.94, 2.985, 72.5
31.87, 2.808, 37.5
32.68, 2.740, 66.9
46.29, 1.961, 56.8
46.89, 1.938, 34.1
54.54, 1.683, 27.7
56.63, 1.625, 25.5
57.81, 1.595, 27.9